This entry pairs a crystal structure of La2ZnSbO6 with its calculated powder diffraction line list. Radiation: a wavelength of 1.5418 Å. Structure: the GGA-PBE geometry in the Materials Project.

Cell and atoms:
Lattice parameters (Å, degrees): 5.8702 5.8702 14.0347 90.00 90.00 120.00
Space group R-3 (No. 148, hexagonal axes)
Unique sites:
La 0.0000 0.0000 0.2504 (multiplicity 6)
Zn 0.0000 0.0000 0.0000 (multiplicity 3)
Sb 0.0000 0.0000 0.5000 (multiplicity 3)
O 0.0021 0.5974 0.2507 (multiplicity 18)

Peak list (10 most intense, 2θ from 5° to 70°, in order of rising 2θ)
hkl 1 1 0, d = 2.935 Å, 30.46°, rel. 94
hkl 1 0 4, d = 2.888 Å, 30.97°, rel. 100
hkl 1 1 3, d = 2.486 Å, 36.13°, rel. 5
hkl 2 0 2, d = 2.390 Å, 37.64°, rel. 6
hkl 0 2 4, d = 2.058 Å, 43.99°, rel. 52
hkl 3 0 0, d = 1.695 Å, 54.12°, rel. 27
hkl 2 1 4, d = 1.685 Å, 54.44°, rel. 43
hkl 0 1 8, d = 1.658 Å, 55.40°, rel. 19
hkl 2 2 0, d = 1.468 Å, 63.38°, rel. 14
hkl 2 0 8, d = 1.444 Å, 64.54°, rel. 16

This entry pairs a crystal structure of BeCl2 with its calculated powder diffraction line list. Radiation: a wavelength of 1.5418 Å. Structure: the GGA-PBE geometry in the Materials Project.

Cell and atoms:
Lattice parameters (Å, degrees): 9.855 9.855 9.855 90.00 90.00 90.00
Space group I-43m (No. 217)
Unique sites:
Be 0.000 0.250 0.500 (multiplicity 12)
Cl 0.108 0.366 0.366 (multiplicity 24)

Peak list (10 most intense, 2θ from 5° to 70°, in order of rising 2θ)
hkl 1 1 0, d = 6.968 Å, 12.70°, rel. 90
hkl 2 1 1, d = 4.023 Å, 22.09°, rel. 24
hkl 2 2 2, d = 2.845 Å, 31.45°, rel. 100
hkl 3 2 1, d = 2.634 Å, 34.04°, rel. 21
hkl 4 0 0, d = 2.464 Å, 36.47°, rel. 38
hkl 4 1 1, d = 2.323 Å, 38.77°, rel. 9
hkl 3 3 2, d = 2.101 Å, 43.05°, rel. 8
hkl 4 3 1, d = 1.933 Å, 47.02°, rel. 12
hkl 4 4 0, d = 1.742 Å, 52.53°, rel. 30
hkl 6 2 2, d = 1.486 Å, 62.52°, rel. 26

This entry pairs a crystal structure of TiAs2O7 with its calculated powder diffraction line list. Radiation: a wavelength of 1.5418 Å. Structure: the GGA-PBE geometry in the Materials Project.

Cell and atoms:
Lattice parameters (Å, degrees): 7.179 9.194 9.592 90.00 105.45 90.00
Space group P2_1/c (No. 14)
Unique sites:
Ti 0.190 0.076 0.283 (multiplicity 4)
As 0.034 0.703 0.967 (multiplicity 4)
As 0.411 0.749 0.757 (multiplicity 4)
O 0.012 0.125 0.109 (multiplicity 4)
O 0.034 0.585 0.832 (multiplicity 4)
O 0.145 0.176 0.449 (multiplicity 4)
O 0.251 0.670 0.096 (multiplicity 4)
O 0.363 0.563 0.742 (multiplicity 4)
O 0.371 0.226 0.284 (multiplicity 4)
O 0.383 0.669 0.401 (multiplicity 4)

Peak list (10 most intense, 2θ from 5° to 70°, in order of rising 2θ)
hkl 0 1 1, d = 6.519 Å, 13.58°, rel. 30
hkl 1 1 0, d = 5.529 Å, 16.03°, rel. 29
hkl 0 2 0, d = 4.597 Å, 19.31°, rel. 100
hkl 1 0 -2, d = 4.427 Å, 20.06°, rel. 49
hkl 1 1 1, d = 4.354 Å, 20.40°, rel. 65
hkl 1 0 2, d = 3.443 Å, 25.88°, rel. 79
hkl 1 2 -2, d = 3.189 Å, 27.98°, rel. 77
hkl 2 1 -2, d = 3.031 Å, 29.47°, rel. 88
hkl 2 2 0, d = 2.765 Å, 32.38°, rel. 43
hkl 1 2 2, d = 2.756 Å, 32.49°, rel. 59

This entry pairs a crystal structure of Sm2MgSe4 with its calculated powder diffraction line list. Radiation: a wavelength of 1.5418 Å. Structure: the GGA-PBE geometry in the Materials Project.

Cell and atoms:
Lattice parameters (Å, degrees): 7.627 8.849 13.921 80.60 84.43 89.95
Space group P-1 (No. 2)
Unique sites:
Sm 0.132 0.444 0.199 (multiplicity 2)
Sm 0.133 0.957 0.195 (multiplicity 2)
Sm 0.259 0.128 0.499 (multiplicity 2)
Sm 0.365 0.300 0.803 (multiplicity 2)
Mg 0.251 0.622 0.504 (multiplicity 2)
Mg 0.366 0.800 0.797 (multiplicity 2)
Se 0.093 0.410 0.400 (multiplicity 2)
Se 0.109 0.892 0.397 (multiplicity 2)
Se 0.196 0.546 0.874 (multiplicity 2)
Se 0.199 0.017 0.873 (multiplicity 2)
Se 0.309 0.719 0.121 (multiplicity 2)
Se 0.335 0.220 0.125 (multiplicity 2)
Se 0.389 0.841 0.609 (multiplicity 2)
Se 0.410 0.359 0.601 (multiplicity 2)

Peak list (10 most intense, 2θ from 5° to 70°, in order of rising 2θ)
hkl 0 0 3, d = 4.556 Å, 19.48°, rel. 82
hkl 1 2 1, d = 3.812 Å, 23.34°, rel. 29
hkl 2 0 1, d = 3.758 Å, 23.68°, rel. 100
hkl 1 -2 1, d = 3.589 Å, 24.81°, rel. 30
hkl -1 2 3, d = 3.068 Å, 29.11°, rel. 38
hkl 2 0 4, d = 2.672 Å, 33.54°, rel. 29
hkl 0 4 1, d = 2.212 Å, 40.79°, rel. 42
hkl 3 -2 0, d = 2.204 Å, 40.94°, rel. 82
hkl 2 0 6, d = 2.044 Å, 44.32°, rel. 26
hkl -1 2 6, d = 2.041 Å, 44.38°, rel. 26

This entry pairs a crystal structure of V2FeSn with its calculated powder diffraction line list. Radiation: a wavelength of 1.5418 Å. Structure: the GGA-PBE geometry in the Materials Project.

Cell and atoms:
Lattice parameters (Å, degrees): 4.444 5.620 9.607 90.00 90.00 90.00
Space group Amm2 (No. 38)
Unique sites:
V 0.000 0.000 0.000 (multiplicity 2)
V 0.000 0.225 0.223 (multiplicity 4)
V 0.500 0.000 0.284 (multiplicity 2)
Fe 0.500 0.223 0.068 (multiplicity 4)
Sn 0.000 0.000 0.482 (multiplicity 2)
Sn 0.500 0.000 0.810 (multiplicity 2)

Peak list (10 most intense, 2θ from 5° to 70°, in order of rising 2θ)
hkl 1 1 1, d = 3.277 Å, 27.21°, rel. 30
hkl 1 0 2, d = 3.262 Å, 27.34°, rel. 12
hkl 0 1 3, d = 2.782 Å, 32.17°, rel. 11
hkl 0 2 2, d = 2.426 Å, 37.06°, rel. 20
hkl 0 0 4, d = 2.402 Å, 37.44°, rel. 14
hkl 2 0 0, d = 2.222 Å, 40.60°, rel. 38
hkl 1 2 2, d = 2.129 Å, 42.46°, rel. 100
hkl 1 0 4, d = 2.113 Å, 42.80°, rel. 42
hkl 2 2 2, d = 1.639 Å, 56.13°, rel. 12
hkl 0 2 6, d = 1.391 Å, 67.30°, rel. 13